Structure and computed XRD peak list of Mn3AlO6 (a DFT-relaxed cell (GGA+U, the Materials Project); Cu Kα).
Neutral-atom scattering factors, no anomalous dispersion.

Atomic structure:
```
Mn3AlO6
1.0
5.2171 -2.9594 0.0000
5.2171 2.9594 0.0000
-0.4607 0.0000 14.7735
Mn Al O
12 4 24
Cartesian
0.0000 0.0000 0.0000
2.6085 1.4797 0.0000
4.0302 1.5156 9.8176
1.6327 0.0000 2.5552
5.9432 1.5156 4.9559
3.2995 0.0000 4.9141
2.6085 -1.4797 0.0000
4.9867 0.0000 7.3867
6.6739 0.0000 9.8593
4.0302 -1.5156 9.8176
8.3407 0.0000 12.2182
5.9432 -1.5156 4.9559
1.4734 0.0000 8.1879
4.7972 0.0000 12.8425
5.1762 0.0000 1.9309
8.5000 0.0000 6.5856
0.0507 0.0000 3.9475
2.3402 1.2804 3.8488
3.9175 1.5106 13.4252
1.2609 0.0000 13.9484
1.5306 0.0000 6.4012
4.1695 1.4558 6.0215
6.0559 1.5106 1.3482
3.2189 0.0000 8.7615
5.8039 1.4558 8.7520
3.4755 0.0000 1.2101
2.3402 -1.2804 3.8488
5.0917 0.0000 3.7087
4.8817 0.0000 11.0648
7.6332 1.2804 10.9247
6.4979 0.0000 13.5634
4.1695 -1.4558 6.0215
6.7545 0.0000 6.0120
3.9175 -1.5106 13.4252
5.8039 -1.4558 8.7520
8.4428 0.0000 8.3723
8.7125 0.0000 0.8251
6.0559 -1.5106 1.3482
7.6332 -1.2804 10.9247
9.9227 0.0000 10.8259
```

Top 10 peaks for 2θ = 10–90°, by angle:
2θ/deg, d/Å, I (rel.)
18.01, 4.924, 42
18.18, 4.879, 100
34.61, 2.592, 29
35.26, 2.546, 22
35.43, 2.533, 50
35.50, 2.529, 25
41.78, 2.162, 40
43.15, 2.097, 72
61.33, 1.511, 29
61.91, 1.499, 32

=====

Structure and computed XRD peak list of KBaSmMnO6 (a DFT-relaxed cell (GGA+U, the Materials Project); Cu Kα).
Neutral-atom scattering factors, no anomalous dispersion.

Atomic structure:
```
KBaSmMnO6
1.0
0.0000 4.2245 4.2245
4.2245 0.0000 4.2245
4.2245 4.2245 0.0000
K Ba Sm Mn O
1 1 1 1 6
Cartesian
0.0000 0.0000 0.0000
4.2245 4.2245 4.2245
2.1122 2.1122 2.1122
6.3367 6.3367 6.3367
6.3367 6.3367 4.4137
6.3367 4.4137 6.3367
8.2596 6.3367 6.3367
4.4137 6.3367 6.3367
6.3367 8.2596 6.3367
6.3367 6.3367 8.2596
```

Top 10 peaks for 2θ = 10–90°, by angle:
2θ/deg, d/Å, I (rel.)
18.19, 4.878, 25
29.91, 2.987, 100
35.23, 2.547, 19
42.81, 2.112, 33
46.87, 1.938, 10
53.10, 1.725, 39
62.15, 1.494, 20
70.49, 1.336, 18
78.42, 1.219, 6
86.13, 1.129, 21

=====

Structure and computed XRD peak list of Ba8Y4CuW3O24 (a DFT-relaxed cell (GGA+U, the Materials Project); Cu Kα).
Neutral-atom scattering factors, no anomalous dispersion.

Atomic structure:
```
Ba8Y4CuW3O24
1.0
-4.2472 4.2472 8.6509
4.2472 -4.2472 8.6509
4.2472 4.2472 -8.6509
Ba Y Cu W O
8 4 1 3 24
Cartesian
1.9634 1.9634 -2.0398
2.2838 -2.2838 6.6111
1.9634 1.9634 2.0398
2.2838 -2.2838 10.6907
-2.2838 2.2838 6.6111
2.2838 2.2838 6.6111
-2.2838 2.2838 10.6907
2.2838 2.2838 10.6907
4.2472 0.0000 0.0000
0.0000 0.0000 4.4468
0.0000 4.2472 0.0000
0.0000 0.0000 12.8550
0.0000 0.0000 0.0000
4.2472 0.0000 4.3254
0.0000 0.0000 8.6509
0.0000 4.2472 4.3254
2.0704 0.0000 0.0000
6.4240 0.0000 0.0000
4.2472 -1.9541 4.2956
0.0000 0.0000 2.3233
4.2472 0.0000 2.3373
0.0000 2.0704 0.0000
2.2931 0.0000 4.3553
6.2013 0.0000 4.3553
4.2472 2.2761 0.0000
4.2472 0.0000 6.3136
0.0000 0.0000 6.7096
4.2472 1.9541 4.2956
2.2761 4.2472 0.0000
1.9711 0.0000 8.6509
0.0000 2.2931 4.3553
0.0000 0.0000 10.5921
0.0000 4.2472 2.3373
0.0000 1.9711 8.6509
-1.9541 4.2472 4.2956
1.9541 4.2472 4.2956
0.0000 6.4240 0.0000
0.0000 4.2472 6.3136
0.0000 0.0000 14.9785
0.0000 6.2013 4.3553
```

Top 10 peaks for 2θ = 10–90°, by angle:
2θ/deg, d/Å, I (rel.)
29.47, 3.031, 100
29.75, 3.003, 48
41.77, 2.163, 15
42.57, 2.124, 28
52.11, 1.755, 18
52.63, 1.739, 35
61.16, 1.515, 17
61.78, 1.502, 8
68.76, 1.365, 8
84.33, 1.148, 8